Ba3Dy2MoO9: calculated XRD peak list (CuKα), based on a DFT-relaxed cell (PBE+U, Alexandria).
Neutral-atom scattering factors, no anomalous dispersion.

Peak list (12 most intense, 2θ from 5° to 70°, most intense first)
h k l, 2θ (°), d/Å, I (rel.)
2 0 0, 29.28, 3.050, 1000
3 2 3, 51.93, 1.761, 395
2 0 6, 41.93, 2.155, 192
4 0 0, 60.74, 1.525, 177
4 0 6, 68.89, 1.363, 117
0 4 0, 41.82, 2.160, 96
1 6 3, 68.73, 1.366, 57
0 2 0, 20.59, 4.313, 14
1 3 0, 34.48, 2.601, 10
2 2 0, 36.07, 2.490, 9
0 1 3, 17.81, 4.980, 8
0 1 1, 11.33, 7.812, 7

Structure:
Lattice parameters (Å, degrees): 6.095 8.641 18.281 90.00 90.00 90.00
Space group Immm (No. 71)
Unique sites:
Ba 0.000 0.238 0.000 [4 per cell]
Ba 0.000 0.259 0.339 [8 per cell]
Dy 0.000 0.000 0.171 [4 per cell]
Dy 0.000 0.000 0.500 [2 per cell]
Dy 0.000 0.500 0.500 [2 per cell]
Mo 0.000 0.500 0.165 [4 per cell]
O 0.000 0.247 0.500 [4 per cell]
O 0.000 0.271 0.169 [8 per cell]
O 0.226 0.500 0.089 [8 per cell]
O 0.231 0.500 0.239 [8 per cell]
O 0.250 0.000 0.090 [8 per cell]